1.
The following is a simulated powder X-ray diffraction pattern of YNbO2. It was derived from the GGA-PBE geometry in the Materials Project, using Cu Kα.
Kinematic intensities with the Lorentz-polarization factor, no thermal factor.

Principal peaks in the range 2θ = 15–90°, sorted by position:
| hkl | Position (°2θ) | d [Å] | intensity |
| --- | --- | --- | --- |
| 0 0 4 | 30.9 | 2.890 | 44.5 |
| 2 0 2 | 32.7 | 2.742 | 100.0 |
| 2 2 0 | 41.0 | 2.202 | 49.2 |
| 2 2 4 | 52.2 | 1.752 | 38.5 |
| 2 0 6 | 56.1 | 1.638 | 30.6 |
| 4 0 0 | 59.4 | 1.557 | 15.3 |
| 0 0 8 | 64.5 | 1.445 | 3.6 |
| 4 0 4 | 68.4 | 1.371 | 16.4 |
| 4 2 2 | 69.4 | 1.354 | 23.4 |
| 2 2 8 | 79.3 | 1.208 | 8.0 |
| 4 2 6 | 86.2 | 1.129 | 17.3 |
| 4 4 0 | 88.9 | 1.101 | 4.7 |

Structural model:
Lattice parameters (Å, degrees): 6.2284 6.2284 11.5591 90.00 90.00 90.00
Space group I4_1/amd (No. 141, origin choice 2)
Symmetry-distinct sites (fractional):
1 Y 0.0000 0.0000 0.0000 x8
2 Nb 0.0000 0.0000 0.5000 x8
3 O 0.0000 0.0183 0.2002 x16

---

2.
The following is a simulated powder X-ray diffraction pattern of Bi4PPd15. It was derived from the GGA-PBE geometry in the Materials Project, using Cu Kα.
Kinematic intensities with the Lorentz-polarization factor, no thermal factor.

Principal peaks in the range 2θ = 15–90°, sorted by position:
| hkl | Position (°2θ) | d [Å] | intensity |
| --- | --- | --- | --- |
| 0 1 5 | 23.7 | 3.759 | 6.6 |
| 1 0 10 | 27.4 | 3.261 | 4.8 |
| 0 1 17 | 35.1 | 2.559 | 6.1 |
| 1 0 19 | 37.6 | 2.390 | 4.3 |
| 0 1 20 | 39.0 | 2.312 | 90.0 |
| 1 1 0 | 39.2 | 2.300 | 100.0 |
| 2 0 20 | 56.4 | 1.630 | 30.4 |
| 1 0 40 | 70.4 | 1.337 | 11.6 |
| 1 2 20 | 70.8 | 1.330 | 30.8 |
| 3 0 0 | 71.0 | 1.328 | 17.2 |
| 0 2 40 | 83.7 | 1.156 | 7.4 |
| 2 2 0 | 84.2 | 1.150 | 11.1 |

Structural model:
Lattice parameters (Å, degrees): 4.5994 4.5994 56.7791 90.00 90.00 120.00
Space group R-3m (No. 166, hexagonal axes)
Symmetry-distinct sites (fractional):
1 Bi 0.0000 0.0000 0.1015 x6
2 Bi 0.0000 0.0000 0.2997 x6
3 P 0.0000 0.0000 0.5000 x3
4 Pd 0.0000 0.0000 0.0000 x3
5 Pd 0.0000 0.0000 0.0506 x6
6 Pd 0.0000 0.0000 0.1538 x6
7 Pd 0.0000 0.0000 0.2007 x6
8 Pd 0.0000 0.0000 0.2500 x6
9 Pd 0.0000 0.0000 0.3506 x6
10 Pd 0.0000 0.0000 0.4024 x6
11 Pd 0.0000 0.0000 0.4581 x6

---

3.
The following is a simulated powder X-ray diffraction pattern of MgC2O6. It was derived from the GGA-PBE geometry in the Materials Project, using Cu Kα.
Kinematic intensities with the Lorentz-polarization factor, no thermal factor.

Principal peaks in the range 2θ = 15–90°, sorted by position:
| hkl | Position (°2θ) | d [Å] | intensity |
| --- | --- | --- | --- |
| 2 0 0 | 18.5 | 4.799 | 89.3 |
| 2 0 -2 | 20.8 | 4.276 | 42.9 |
| 1 1 1 | 24.9 | 3.571 | 21.4 |
| 3 1 -1 | 28.5 | 3.134 | 34.3 |
| 4 0 -2 | 31.2 | 2.869 | 100.0 |
| 0 2 1 | 34.8 | 2.577 | 29.5 |
| 1 1 -3 | 36.4 | 2.466 | 21.6 |
| 0 2 2 | 41.0 | 2.199 | 20.1 |
| 1 1 3 | 46.2 | 1.963 | 17.8 |
| 6 0 -2 | 47.7 | 1.906 | 20.7 |
| 0 2 3 | 50.0 | 1.825 | 24.2 |
| 6 0 -4 | 50.7 | 1.801 | 22.5 |

Structural model:
Lattice parameters (Å, degrees): 11.5556 5.5040 8.8096 90.00 123.84 90.00
Space group C2/c (No. 15)
Symmetry-distinct sites (fractional):
1 Mg 0.0000 0.1675 0.2500 x4
2 C 0.0518 0.3348 0.8576 x8
3 O 0.0827 0.1276 0.9326 x8
4 O 0.0916 0.4605 0.4317 x8
5 O 0.1812 0.1823 0.2391 x8

---

4.
The following is a simulated powder X-ray diffraction pattern of MgSnAsO5. It was derived from the GGA-PBE geometry in the Materials Project, using Cu Kα.
Kinematic intensities with the Lorentz-polarization factor, no thermal factor.

Principal peaks in the range 2θ = 15–90°, sorted by position:
| hkl | Position (°2θ) | d [Å] | intensity |
| --- | --- | --- | --- |
| 0 1 -1 | 17.2 | 5.159 | 26.1 |
| 1 0 1 | 17.4 | 5.101 | 15.6 |
| 0 0 2 | 20.9 | 4.257 | 16.7 |
| 0 2 0 | 21.1 | 4.218 | 100.0 |
| 1 -2 0 | 25.3 | 3.517 | 38.8 |
| 0 1 3 | 29.5 | 3.028 | 55.4 |
| -2 1 1 | 30.5 | 2.927 | 55.4 |
| 2 1 -1 | 33.0 | 2.710 | 46.3 |
| 2 2 0 | 35.2 | 2.548 | 26.0 |
| 2 2 2 | 37.2 | 2.418 | 21.2 |
| 4 0 0 | 57.9 | 1.593 | 14.6 |
| 2 -3 3 | 61.2 | 1.514 | 22.0 |

Structural model:
Lattice parameters (Å, degrees): 6.3706 9.0021 9.0861 69.57 89.93 89.86
Space group P1 (No. 1)
Symmetry-distinct sites (fractional):
1 Mg 0.0000 0.0000 0.0000 x1
2 Mg 0.0060 0.4263 0.1210 x1
3 Mg 0.4983 0.0531 0.5621 x1
4 Mg 0.5071 0.6200 0.4332 x1
5 Sn 0.2480 0.0241 0.2821 x1
6 Sn 0.2567 0.5235 0.7775 x1
7 Sn 0.7476 0.0249 0.2805 x1
8 Sn 0.7567 0.5216 0.7770 x1
9 As 0.0090 0.4143 0.4895 x1
10 As 0.4978 0.1365 0.9079 x1
11 As 0.5071 0.6314 0.0639 x1
12 As 0.9976 0.9097 0.6539 x1
13 O 0.0038 0.7056 0.7190 x1
14 O 0.0075 0.3812 0.8635 x1
15 O 0.0108 0.5124 0.2914 x1
16 O 0.2149 0.9729 0.5350 x1
17 O 0.2339 0.5177 0.5520 x1
18 O 0.2804 0.5270 0.0037 x1
19 O 0.2806 0.0823 0.0279 x1
20 O 0.4890 0.0533 0.7706 x1
21 O 0.4972 0.1530 0.3224 x1
22 O 0.4989 0.8616 0.3222 x1
23 O 0.5049 0.3404 0.8328 x1
24 O 0.5070 0.6636 0.6910 x1
25 O 0.5110 0.5350 0.2623 x1
26 O 0.7156 0.0788 0.0267 x1
27 O 0.7327 0.5267 0.0027 x1
28 O 0.7810 0.5167 0.5513 x1
29 O 0.7806 0.9704 0.5340 x1
30 O 0.9882 0.9841 0.7974 x1
31 O 0.9980 0.1874 0.2354 x1
32 O 0.9985 0.8960 0.2412 x1

---

5.
The following is a simulated powder X-ray diffraction pattern of KAlSi3O8. It was derived from the GGA-PBE geometry in the Materials Project, using Cu Kα.
Kinematic intensities with the Lorentz-polarization factor, no thermal factor.

Principal peaks in the range 2θ = 15–90°, sorted by position:
| hkl | Position (°2θ) | d [Å] | intensity |
| --- | --- | --- | --- |
| 2 0 1 | 29.5 | 3.024 | 94.0 |
| 4 0 -1 | 29.9 | 2.992 | 80.6 |
| 4 0 -3 | 30.2 | 2.963 | 88.1 |
| 1 1 1 | 38.9 | 2.314 | 37.4 |
| 3 1 -2 | 39.2 | 2.300 | 37.5 |
| 3 1 0 | 43.5 | 2.079 | 96.6 |
| 3 1 -3 | 43.8 | 2.069 | 100.0 |
| 5 1 -1 | 51.9 | 1.763 | 58.0 |
| 3 1 2 | 62.2 | 1.493 | 43.4 |
| 7 1 -5 | 63.3 | 1.470 | 39.3 |
| 1 1 -5 | 72.1 | 1.311 | 40.0 |
| 9 1 -4 | 73.1 | 1.294 | 38.0 |

Structural model:
Lattice parameters (Å, degrees): 13.2567 2.7522 9.4154 90.00 134.12 90.00
Space group Cm (No. 8)
Symmetry-distinct sites (fractional):
1 K 0.0000 0.0000 0.0000 x2
2 Al 0.1498 0.0000 0.8163 x2
3 Si 0.1623 0.5000 0.5165 x2
4 Si 0.3324 0.0000 0.4839 x2
5 Si 0.3470 0.5000 0.1803 x2
6 O 0.0409 0.0000 0.3790 x2
7 O 0.1619 0.5000 0.9662 x2
8 O 0.1660 0.5000 0.7009 x2
9 O 0.2014 0.5000 0.3582 x2
10 O 0.2910 0.0000 0.6331 x2
11 O 0.3376 0.0000 0.3004 x2
12 O 0.3567 0.0000 0.0679 x2
13 O 0.4497 0.5000 0.6161 x2

---

6.
The following is a simulated powder X-ray diffraction pattern of AlPO4. It was derived from the GGA-PBE geometry in the Materials Project, using Cu Kα.
Kinematic intensities with the Lorentz-polarization factor, no thermal factor.

Principal peaks in the range 2θ = 15–90°, sorted by position:
| hkl | Position (°2θ) | d [Å] | intensity |
| --- | --- | --- | --- |
| 0 0 1 | 19.7 | 4.498 | 51.3 |
| 1 0 0 | 19.8 | 4.475 | 49.2 |
| 1 0 -1 | 20.2 | 4.407 | 55.0 |
| 0 2 0 | 21.0 | 4.231 | 100.0 |
| 1 1 0 | 22.4 | 3.962 | 96.7 |
| 1 1 -1 | 22.8 | 3.909 | 27.4 |
| 1 2 0 | 29.0 | 3.077 | 23.2 |
| 1 2 -1 | 29.3 | 3.052 | 29.5 |
| 1 0 1 | 34.4 | 2.606 | 19.8 |
| 1 0 -2 | 35.0 | 2.566 | 23.3 |
| 1 3 0 | 37.7 | 2.387 | 11.4 |
| 1 5 0 | 58.3 | 1.583 | 10.8 |

Structural model:
Lattice parameters (Å, degrees): 5.1065 8.4624 5.1327 90.00 118.81 90.00
Space group P2_1 (No. 4)
Symmetry-distinct sites (fractional):
1 Al 0.1025 0.0000 0.3528 x2
2 P 0.2256 0.3745 0.3055 x2
3 O 0.0375 0.4797 0.3972 x2
4 O 0.1485 0.2006 0.3140 x2
5 O 0.1586 0.4196 0.9893 x2
6 O 0.4401 0.8985 0.4802 x2

---

7.
The following is a simulated powder X-ray diffraction pattern of LaMgS3. It was derived from the GGA-PBE geometry in the Materials Project, using Cu Kα.
Kinematic intensities with the Lorentz-polarization factor, no thermal factor.

Principal peaks in the range 2θ = 15–90°, sorted by position:
| hkl | Position (°2θ) | d [Å] | intensity |
| --- | --- | --- | --- |
| 0 2 0 | 15.6 | 5.686 | 100.0 |
| 0 2 1 | 24.1 | 3.700 | 35.6 |
| 1 1 1 | 24.5 | 3.637 | 34.6 |
| 2 2 -1 | 29.6 | 3.015 | 40.8 |
| 1 3 -1 | 30.4 | 2.943 | 44.9 |
| 1 3 1 | 33.2 | 2.697 | 47.6 |
| 3 1 0 | 33.6 | 2.670 | 80.3 |
| 2 2 1 | 35.2 | 2.549 | 29.2 |
| 1 1 -2 | 36.9 | 2.434 | 46.2 |
| 2 4 -1 | 40.6 | 2.221 | 47.1 |
| 3 3 -1 | 41.5 | 2.176 | 18.7 |
| 3 5 0 | 52.2 | 1.752 | 17.6 |

Structural model:
Lattice parameters (Å, degrees): 8.4492 11.3710 4.9951 90.00 102.75 90.00
Space group C2/m (No. 12)
Symmetry-distinct sites (fractional):
1 La 0.1600 0.0000 0.3167 x4
2 Mg 0.0000 0.3023 0.0000 x4
3 S 0.0075 0.5000 0.2938 x4
4 S 0.1433 0.1474 0.8017 x8

---

8.
The following is a simulated powder X-ray diffraction pattern of Cs2NaEuCl6. It was derived from the GGA-PBE geometry in the Materials Project, using Cu Kα.
Kinematic intensities with the Lorentz-polarization factor, no thermal factor.

Principal peaks in the range 2θ = 15–90°, sorted by position:
| hkl | Position (°2θ) | d [Å] | intensity |
| --- | --- | --- | --- |
| 2 2 0 | 22.8 | 3.900 | 100.0 |
| 3 1 1 | 26.8 | 3.326 | 16.3 |
| 2 2 2 | 28.0 | 3.185 | 28.6 |
| 4 0 0 | 32.5 | 2.758 | 66.9 |
| 4 2 2 | 40.0 | 2.252 | 47.2 |
| 4 4 0 | 46.6 | 1.950 | 46.0 |
| 6 2 0 | 52.5 | 1.744 | 21.8 |
| 4 4 4 | 57.9 | 1.592 | 15.5 |
| 6 4 2 | 63.1 | 1.474 | 25.3 |
| 6 6 0 | 72.7 | 1.300 | 12.5 |
| 8 4 0 | 77.4 | 1.233 | 19.8 |
| 8 4 4 | 86.4 | 1.126 | 15.2 |

Structural model:
Lattice parameters (Å, degrees): 11.0320 11.0320 11.0320 90.00 90.00 90.00
Space group Fm-3m (No. 225)
Symmetry-distinct sites (fractional):
1 Cs 0.2500 0.2500 0.2500 x8
2 Na 0.0000 0.0000 0.0000 x4
3 Eu 0.0000 0.0000 0.5000 x4
4 Cl 0.0000 0.0000 0.2533 x24

---

- Which formula does entry 6 have?
  AlPO4